Diffraction record for MgFe4P4O16. The powder diffraction line list is theoretical, not measured: it uses a crystal structure in Alexandria, relaxed with GGA+U and copper Kα.

Cell and atoms:
Unit cell a=5.2663 b=8.5899 c=9.4157 alpha=86.94 beta=88.80 gamma=74.10
Space group P1 (No. 1)
Symmetry-distinct sites (fractional):
Mg 0.0000 0.0000 0.0000 (multiplicity 1)
Fe 0.1356 0.7917 0.3606 (multiplicity 1)
Fe 0.2793 0.1944 0.4319 (multiplicity 1)
Fe 0.6132 0.3341 0.9162 (multiplicity 1)
Fe 0.6826 0.6980 0.8620 (multiplicity 1)
P 0.0766 0.2856 0.7650 (multiplicity 1)
P 0.2439 0.6966 0.0418 (multiplicity 1)
P 0.5493 0.7919 0.5215 (multiplicity 1)
P 0.8378 0.1683 0.2433 (multiplicity 1)
O 0.0383 0.2637 0.2606 (multiplicity 1)
O 0.0969 0.2889 0.6057 (multiplicity 1)
O 0.2290 0.6495 0.1997 (multiplicity 1)
O 0.3360 0.9429 0.4515 (multiplicity 1)
O 0.3472 0.2589 0.8369 (multiplicity 1)
O 0.3712 0.8391 0.0093 (multiplicity 1)
O 0.4222 0.5534 0.9593 (multiplicity 1)
O 0.4284 0.6548 0.4800 (multiplicity 1)
O 0.5643 0.8086 0.6817 (multiplicity 1)
O 0.6291 0.1930 0.3579 (multiplicity 1)
O 0.7168 0.2060 0.0865 (multiplicity 1)
O 0.8239 0.7748 0.4537 (multiplicity 1)
O 0.8711 0.4430 0.8201 (multiplicity 1)
O 0.9427 0.1542 0.8301 (multiplicity 1)
O 0.9624 0.7639 0.9749 (multiplicity 1)
O 0.9814 0.9822 0.2237 (multiplicity 1)

Peak list (10 most intense, 2θ from 15° to 90°, by intensity)
Position (°2θ)	Rel. int.	h k l
21.5	100	0 2 0
19.9	93	1 1 1
18.9	71	0 0 2
20.0	43	1 0 -1
20.5	37	1 1 -1
36.2	25	2 2 0
17.9	19	1 1 0
33.2	19	1 1 3
29.6	19	-1 1 2
33.5	18	0 3 1